Entry 1:
This entry pairs a crystal structure of LiMnClO with its calculated powder diffractogram. Radiation: CuKα. Structure: a cell relaxed with GGA+U.
Neutral-atom scattering factors, no anomalous dispersion.

Crystal structure
```
data_LiMnClO
_cell_length_a 3.5237
_cell_length_b 3.5735
_cell_length_c 5.3563
_cell_angle_alpha 90.00
_cell_angle_beta 90.00
_cell_angle_gamma 90.00
_symmetry_space_group_name_H-M 'P m m 2'
_symmetry_Int_Tables_number 25
_symmetry_space_group_name_Hall 'P 2 -2'
loop_
_atom_site_label
_atom_site_type_symbol
_atom_site_fract_x
_atom_site_fract_y
_atom_site_fract_z
Li1 Li 0.0000 0.0000 0.0000
Mn1 Mn 0.5000 0.5000 0.3464
Cl1 Cl 0.0000 0.5000 0.6855
O1 O 0.5000 0.0000 0.1775
```

Top 10 peaks for 2θ from 10° to 90°, in order of falling intensity:
Position (°2θ), I_rel, (hkl)
30.4, 100, 1 0 1
16.6, 47, 0 0 1
24.9, 45, 0 1 0
39.7, 45, 1 1 1
49.8, 41, 1 1 2
30.1, 39, 0 1 1
60.6, 22, 1 2 1
51.1, 21, 0 2 0
42.4, 18, 1 0 2
57.7, 15, 0 1 3

***

Entry 2:
This entry pairs a crystal structure of LiMn2ClO3 with its calculated powder diffractogram. Radiation: CuKα. Structure: a cell relaxed with GGA+U.
Neutral-atom scattering factors, no anomalous dispersion.

Crystal structure
```
data_LiMn2ClO3
_cell_length_a 6.2731
_cell_length_b 6.2731
_cell_length_c 15.6959
_cell_angle_alpha 90.00
_cell_angle_beta 90.00
_cell_angle_gamma 120.00
_symmetry_space_group_name_H-M 'R -3 m'
_symmetry_Int_Tables_number 166
_symmetry_space_group_name_Hall '-R 3 2"'
loop_
_atom_site_label
_atom_site_type_symbol
_atom_site_fract_x
_atom_site_fract_y
_atom_site_fract_z
Li1 Li 0.0000 0.0000 0.0794
Mn1 Mn 0.0000 0.0000 0.5000
Mn2 Mn 0.0000 0.5000 0.0000
Cl1 Cl 0.0000 0.0000 0.2200
O1 O 0.0484 0.5242 0.2695
```

Top 10 peaks for 2θ from 10° to 90°, in order of falling intensity:
Position (°2θ), I_rel, (hkl)
40.4, 100, 0 2 4
17.3, 86, 1 0 1
33.3, 74, 1 1 3
16.9, 34, 0 0 3
58.9, 33, 2 2 0
43.7, 26, 1 0 7
61.2, 22, 2 1 7
33.5, 21, 0 2 1
53.6, 19, 0 3 3
58.0, 18, 2 0 8